Starting from a crystal structure in Alexandria, relaxed with PBE, the PXRD pattern of PuTl2HgO6 was computed for Cu Kα (λ = 1.5418 Å).
Peak positions follow from Bragg's law for the DFT cell and can differ from measured ones.

Atomic structure:
```
data_PuTl2HgO6
_cell_length_a 6.223
_cell_length_b 6.239
_cell_length_c 6.482
_cell_angle_alpha 110.82
_cell_angle_beta 113.03
_cell_angle_gamma 102.07
_space_group_name_H-M_alt 'P -1'
_space_group_IT_number 2
loop_
_space_group_symop_operation_xyz
'x,y,z'
'-x,-y,-z'
loop_
_atom_site_label
_atom_site_type_symbol
_atom_site_fract_x
_atom_site_fract_y
_atom_site_fract_z
Pu1 Pu 0.000 0.000 0.000
Tl1 Tl 0.211 0.797 0.507
Hg1 Hg 0.500 0.500 0.000
O1 O 0.178 0.285 0.323
O2 O 0.186 0.182 0.824
O3 O 0.260 0.886 0.110
```

Most intense lines, 10° ≤ 2θ ≤ 90°, sorted by position:
24.72 deg, intensity 100, hkl -1 1 1
25.47 deg, intensity 100, hkl 1 -1 1
28.31 deg, intensity 81, hkl 1 1 0
28.68 deg, intensity 95, hkl 1 1 -2
29.29 deg, intensity 62, hkl 0 2 -1
29.35 deg, intensity 66, hkl 2 0 -1
34.40 deg, intensity 50, hkl 0 0 2
37.13 deg, intensity 28, hkl 2 -2 0
45.64 deg, intensity 27, hkl 2 0 -3
46.35 deg, intensity 27, hkl 2 2 -2


Starting from a crystal structure in Alexandria, relaxed with PBE, the PXRD pattern of NiMoOs2 was computed for Cu Kα (λ = 1.5418 Å).
Peak positions follow from Bragg's law for the DFT cell and can differ from measured ones.

Atomic structure:
```
data_NiMoOs2
_cell_length_a 3.854
_cell_length_b 3.854
_cell_length_c 7.526
_cell_angle_alpha 90.00
_cell_angle_beta 90.00
_cell_angle_gamma 90.00
_space_group_name_H-M_alt 'I 4/m m m'
_space_group_IT_number 139
_space_group_name_Hall '-I 4 2'
loop_
_atom_site_label
_atom_site_type_symbol
_atom_site_fract_x
_atom_site_fract_y
_atom_site_fract_z
Ni1 Ni 0.000 0.000 0.000
Mo1 Mo 0.000 0.000 0.500
Os1 Os 0.000 0.500 0.250
```

Most intense lines, 10° ≤ 2θ ≤ 90°, sorted by position:
23.64 deg, intensity 15, hkl 0 0 2
32.87 deg, intensity 14, hkl 1 1 0
40.89 deg, intensity 100, hkl 1 1 2
47.17 deg, intensity 33, hkl 2 0 0
48.38 deg, intensity 15, hkl 0 0 4
68.92 deg, intensity 11, hkl 2 2 0
69.87 deg, intensity 20, hkl 2 0 4
83.36 deg, intensity 26, hkl 3 1 2
85.16 deg, intensity 12, hkl 1 1 6
88.63 deg, intensity 11, hkl 2 2 4


Starting from a crystal structure in Alexandria, relaxed with PBE, the PXRD pattern of BaP3H10C3NO9 was computed for Cu Kα (λ = 1.5418 Å).
Peak positions follow from Bragg's law for the DFT cell and can differ from measured ones.

Atomic structure:
```
data_BaP3H10C3NO9
_cell_length_a 7.747
_cell_length_b 8.677
_cell_length_c 9.204
_cell_angle_alpha 101.82
_cell_angle_beta 95.17
_cell_angle_gamma 106.46
_space_group_name_H-M_alt 'P -1'
_space_group_IT_number 2
loop_
_space_group_symop_operation_xyz
'x,y,z'
'-x,-y,-z'
loop_
_atom_site_label
_atom_site_type_symbol
_atom_site_fract_x
_atom_site_fract_y
_atom_site_fract_z
Ba1 Ba 0.109 0.276 0.444
P1 P 0.011 0.106 0.814
P2 P 0.288 0.663 0.817
P3 P 0.370 0.685 0.403
H1 H 0.029 0.665 0.009
H2 H 0.060 0.634 0.197
H3 H 0.167 0.117 0.032
H4 H 0.301 0.548 0.038
H5 H 0.314 0.900 0.099
H6 H 0.373 0.945 0.349
H7 H 0.454 0.126 0.729
H8 H 0.482 0.797 0.690
H9 H 0.490 0.492 0.712
H10 H 0.496 0.290 0.958
C1 C 0.087 0.724 0.127
C2 C 0.355 0.671 0.018
C3 C 0.402 0.836 0.285
N1 N 0.291 0.788 0.130
O1 O 0.062 0.096 0.659
O2 O 0.101 0.683 0.794
O3 O 0.132 0.050 0.170
O4 O 0.184 0.650 0.450
O5 O 0.190 0.157 0.935
O6 O 0.309 0.501 0.729
O7 O 0.378 0.515 0.304
O8 O 0.445 0.817 0.795
O9 O 0.464 0.235 0.473
```

Most intense lines, 10° ≤ 2θ ≤ 90°, sorted by position:
12.06 deg, intensity 53, hkl 1 0 0
18.92 deg, intensity 38, hkl 1 1 -1
22.01 deg, intensity 61, hkl 0 2 0
23.32 deg, intensity 100, hkl 2 -1 0
23.84 deg, intensity 42, hkl 1 1 -2
24.83 deg, intensity 45, hkl -1 1 2
24.98 deg, intensity 44, hkl 1 0 2
25.98 deg, intensity 36, hkl 0 2 -2
26.35 deg, intensity 37, hkl 0 2 1
34.36 deg, intensity 31, hkl 1 0 3


Starting from a crystal structure in Alexandria, relaxed with PBE, the PXRD pattern of K2BaHf3S8 was computed for Cu Kα (λ = 1.5418 Å).
Peak positions follow from Bragg's law for the DFT cell and can differ from measured ones.

Atomic structure:
```
data_K2BaHf3S8
_cell_length_a 7.7212
_cell_length_b 7.7212
_cell_length_c 22.8132
_cell_angle_alpha 90.00
_cell_angle_beta 90.00
_cell_angle_gamma 120.00
_space_group_name_H-M_alt 'R 3 m'
_space_group_IT_number 160
_space_group_name_Hall 'R 3 -2"'
loop_
_atom_site_label
_atom_site_type_symbol
_atom_site_fract_x
_atom_site_fract_y
_atom_site_fract_z
K1 K 0.0000 0.0000 0.0000
K2 K 0.0000 0.0000 0.3622
Ba1 Ba 0.0000 0.0000 0.7329
Hf1 Hf 0.0057 0.5028 0.8652
S1 S 0.0000 0.0000 0.1347
S2 S 0.0000 0.0000 0.5934
S3 S 0.0332 0.5166 0.1366
S4 S 0.1791 0.3583 0.9233
```

Most intense lines, 10° ≤ 2θ ≤ 90°, sorted by position:
11.64 deg, intensity 100, hkl 0 0 3
15.36 deg, intensity 26, hkl 0 1 2
20.47 deg, intensity 40, hkl 1 0 4
23.61 deg, intensity 23, hkl 0 1 5
25.88 deg, intensity 58, hkl 1 1 3
26.95 deg, intensity 64, hkl 0 2 1
31.00 deg, intensity 54, hkl 0 2 4
38.58 deg, intensity 57, hkl 0 2 7
41.63 deg, intensity 43, hkl 2 0 8
47.08 deg, intensity 41, hkl 2 2 0


Starting from a crystal structure in Alexandria, relaxed with PBE, the PXRD pattern of Dy6TmCo2 was computed for Cu Kα (λ = 1.5418 Å).
Peak positions follow from Bragg's law for the DFT cell and can differ from measured ones.

Atomic structure:
```
data_Dy6TmCo2
_cell_length_a 9.414
_cell_length_b 10.009
_cell_length_c 10.020
_cell_angle_alpha 90.00
_cell_angle_beta 90.00
_cell_angle_gamma 90.00
_space_group_name_H-M_alt 'I m m m'
_space_group_IT_number 71
_space_group_name_Hall '-I 2 2'
loop_
_atom_site_label
_atom_site_type_symbol
_atom_site_fract_x
_atom_site_fract_y
_atom_site_fract_z
Dy1 Dy 0.000 0.212 0.242
Dy2 Dy 0.182 0.500 0.180
Dy3 Dy 0.212 0.316 0.500
Tm1 Tm 0.000 0.000 0.000
Tm2 Tm 0.000 0.000 0.500
Co1 Co 0.000 0.287 0.000
Co2 Co 0.000 0.500 0.385
```

Most intense lines, 10° ≤ 2θ ≤ 90°, sorted by position:
28.18 deg, intensity 35, hkl 0 1 3
29.84 deg, intensity 35, hkl 3 1 0
31.62 deg, intensity 100, hkl 2 2 2
33.65 deg, intensity 52, hkl 1 3 2
34.12 deg, intensity 51, hkl 2 3 1
34.92 deg, intensity 22, hkl 3 2 1
35.87 deg, intensity 37, hkl 0 0 4
38.25 deg, intensity 25, hkl 4 0 0
53.37 deg, intensity 23, hkl 4 0 4
59.30 deg, intensity 24, hkl 5 3 2


Starting from a crystal structure in Alexandria, relaxed with PBE, the PXRD pattern of HfNpS was computed for Cu Kα (λ = 1.5418 Å).
Peak positions follow from Bragg's law for the DFT cell and can differ from measured ones.

Atomic structure:
```
data_HfNpS
_cell_length_a 3.3039
_cell_length_b 3.3039
_cell_length_c 13.0293
_cell_angle_alpha 90.00
_cell_angle_beta 90.00
_cell_angle_gamma 120.00
_space_group_name_H-M_alt 'P -6 m 2'
_space_group_IT_number 187
_space_group_name_Hall 'P -6 2'
loop_
_atom_site_label
_atom_site_type_symbol
_atom_site_fract_x
_atom_site_fract_y
_atom_site_fract_z
Hf1 Hf 0.0000 0.0000 0.2053
Np1 Np 0.0000 0.0000 0.5000
Np2 Np 0.3333 0.6667 0.0000
S1 S 0.3333 0.6667 0.3396
```

Most intense lines, 10° ≤ 2θ ≤ 90°, sorted by position:
27.38 deg, intensity 26, hkl 0 0 4
31.26 deg, intensity 44, hkl 1 0 0
32.03 deg, intensity 26, hkl 1 0 1
34.23 deg, intensity 16, hkl 1 0 2
37.65 deg, intensity 100, hkl 1 0 3
42.03 deg, intensity 17, hkl 1 0 4
55.64 deg, intensity 26, hkl 1 1 0
59.22 deg, intensity 26, hkl 1 0 7
63.10 deg, intensity 16, hkl 1 1 4
69.13 deg, intensity 17, hkl 2 0 3


Starting from a crystal structure in Alexandria, relaxed with PBE, the PXRD pattern of Pa4CoPt3 was computed for Cu Kα (λ = 1.5418 Å).
Peak positions follow from Bragg's law for the DFT cell and can differ from measured ones.

Atomic structure:
```
data_Pa4CoPt3
_cell_length_a 3.731
_cell_length_b 4.043
_cell_length_c 11.475
_cell_angle_alpha 90.00
_cell_angle_beta 90.00
_cell_angle_gamma 90.00
_space_group_name_H-M_alt 'P m m 2'
_space_group_IT_number 25
loop_
_space_group_symop_operation_xyz
'x,y,z'
'-x,-y,z'
'-x,y,z'
'x,-y,z'
loop_
_atom_site_label
_atom_site_type_symbol
_atom_site_fract_x
_atom_site_fract_y
_atom_site_fract_z
Pa1 Pa 0.000 0.000 0.000
Pa2 Pa 0.000 0.500 0.284
Pa3 Pa 0.500 0.000 0.499
Pa4 Pa 0.500 0.500 0.803
Co1 Co 0.500 0.000 0.261
Pt1 Pt 0.000 0.000 0.724
Pt2 Pt 0.000 0.500 0.547
Pt3 Pt 0.500 0.500 0.085
```

Most intense lines, 10° ≤ 2θ ≤ 90°, sorted by position:
31.18 deg, intensity 23, hkl 0 0 4
33.59 deg, intensity 100, hkl 1 1 1
38.48 deg, intensity 23, hkl 0 1 4
40.48 deg, intensity 36, hkl 1 1 3
44.84 deg, intensity 19, hkl 0 2 0
48.82 deg, intensity 15, hkl 2 0 0
57.15 deg, intensity 11, hkl 1 2 3
61.82 deg, intensity 10, hkl 1 0 7
63.81 deg, intensity 11, hkl 2 1 4
68.43 deg, intensity 11, hkl 2 2 0


Starting from a crystal structure in Alexandria, relaxed with PBE, the PXRD pattern of ZrTi3In3 was computed for Cu Kα (λ = 1.5418 Å).
Peak positions follow from Bragg's law for the DFT cell and can differ from measured ones.

Atomic structure:
```
data_ZrTi3In3
_cell_length_a 8.2151
_cell_length_b 8.2151
_cell_length_c 4.8091
_cell_angle_alpha 90.00
_cell_angle_beta 90.00
_cell_angle_gamma 120.00
_space_group_name_H-M_alt 'P 63/m'
_space_group_IT_number 176
_space_group_name_Hall '-P 6c'
loop_
_atom_site_label
_atom_site_type_symbol
_atom_site_fract_x
_atom_site_fract_y
_atom_site_fract_z
Zr1 Zr 0.3333 0.6667 0.2500
Ti1 Ti 0.0198 0.8018 0.2500
In1 In 0.0806 0.6305 0.7500
```

Most intense lines, 10° ≤ 2θ ≤ 90°, sorted by position:
12.44 deg, intensity 12, hkl 1 0 0
28.58 deg, intensity 16, hkl 1 1 1
33.32 deg, intensity 27, hkl 1 2 0
37.40 deg, intensity 26, hkl 0 0 2
38.35 deg, intensity 100, hkl 1 2 1
50.95 deg, intensity 16, hkl 1 2 2
59.55 deg, intensity 15, hkl 4 1 0
68.10 deg, intensity 17, hkl 1 2 3
72.47 deg, intensity 17, hkl 4 1 2
73.08 deg, intensity 11, hkl 2 4 1


Starting from a crystal structure in Alexandria, relaxed with PBE, the PXRD pattern of Pr3Mg5Pd2 was computed for Cu Kα (λ = 1.5418 Å).
Peak positions follow from Bragg's law for the DFT cell and can differ from measured ones.

Atomic structure:
```
data_Pr3Mg5Pd2
_cell_length_a 10.670
_cell_length_b 10.670
_cell_length_c 4.351
_cell_angle_alpha 90.00
_cell_angle_beta 90.00
_cell_angle_gamma 90.00
_space_group_name_H-M_alt 'P 4/m b m'
_space_group_IT_number 127
_space_group_name_Hall '-P 4 2ab'
loop_
_atom_site_label
_atom_site_type_symbol
_atom_site_fract_x
_atom_site_fract_y
_atom_site_fract_z
Pr1 Pr 0.000 0.000 0.000
Pr2 Pr 0.178 0.322 0.000
Mg1 Mg 0.000 0.500 0.500
Mg2 Mg 0.066 0.775 0.500
Pd1 Pd 0.116 0.616 0.000
```

Most intense lines, 10° ≤ 2θ ≤ 90°, sorted by position:
20.41 deg, intensity 71, hkl 0 0 1
26.42 deg, intensity 56, hkl 3 1 0
31.38 deg, intensity 32, hkl 2 2 1
33.61 deg, intensity 100, hkl 3 1 1
34.66 deg, intensity 33, hkl 4 1 0
36.73 deg, intensity 36, hkl 3 2 1
41.50 deg, intensity 30, hkl 0 0 2
48.26 deg, intensity 21, hkl 4 4 0
49.86 deg, intensity 26, hkl 3 1 2
55.15 deg, intensity 19, hkl 4 1 2